[1]
Theoretical powder diffraction line list
Compound: Mg2Sb3
Radiation: Cu Kα (λ = 1.5418 Å)
Structure: the PBE geometry in the Materials Project
Intensities are scaled so that the largest is 1000.

Structure:
```
Mg2Sb3
1.0
4.695 0.000 0.000
-2.348 4.066 0.000
0.000 0.000 7.490
Mg Sb
2 3
Direct
0.333 0.667 0.165 Mg
0.667 0.333 0.835 Mg
0.000 0.000 0.000 Sb
0.333 0.667 0.580 Sb
0.667 0.333 0.420 Sb
```

Top 10 peaks for 2θ = 10–80°, most intense first:
two_theta  I (rel.)
24.9  1000
38.3  555
32.5  526
42.5  322
45.6  199
23.8  191
46.3  187
61.6  157
51.1  143
53.9  137

***

[2]
Theoretical powder diffraction line list
Compound: Li10Zn7P8S32
Radiation: Cu Kα (λ = 1.5418 Å)
Structure: the PBE geometry in the Materials Project
Intensities are scaled so that the largest is 1000.

Structure:
```
Li10Zn7P8S32
1.0
9.205 0.000 0.000
-0.006 11.622 0.000
-0.008 -0.004 11.631
Li Zn P S
10 7 8 32
Direct
0.000 0.000 0.000 Li
0.000 0.253 0.251 Li
0.489 0.000 0.000 Li
0.491 0.500 0.003 Li
0.494 0.000 0.506 Li
0.494 0.500 0.503 Li
0.746 0.999 0.248 Li
0.994 0.248 0.754 Li
0.997 0.751 0.754 Li
0.998 0.749 0.252 Li
0.002 0.999 0.506 Zn
0.488 0.748 0.250 Zn
0.489 0.251 0.253 Zn
0.493 0.250 0.754 Zn
0.493 0.752 0.754 Zn
0.993 0.499 0.003 Zn
0.995 0.501 0.503 Zn
0.244 0.004 0.254 P
0.244 0.500 0.253 P
0.244 0.500 0.753 P
0.245 0.996 0.752 P
0.741 0.750 0.008 P
0.742 0.250 0.502 P
0.747 0.250 0.999 P
0.747 0.751 0.503 P
0.128 0.105 0.147 S
0.129 0.396 0.864 S
0.129 0.604 0.642 S
0.130 0.396 0.365 S
0.130 0.604 0.141 S
0.130 0.896 0.364 S
0.132 0.894 0.860 S
0.133 0.105 0.641 S
0.358 0.389 0.149 S
0.358 0.611 0.358 S
0.359 0.110 0.855 S
0.359 0.389 0.649 S
0.359 0.612 0.856 S
0.361 0.892 0.150 S
0.364 0.889 0.645 S
0.366 0.109 0.360 S
0.623 0.355 0.895 S
0.624 0.147 0.113 S
0.624 0.643 0.115 S
0.625 0.854 0.391 S
0.629 0.648 0.612 S
0.629 0.854 0.895 S
0.630 0.146 0.613 S
0.630 0.354 0.390 S
0.858 0.141 0.898 S
0.858 0.361 0.107 S
0.859 0.641 0.903 S
0.859 0.863 0.607 S
0.860 0.640 0.398 S
0.861 0.359 0.604 S
0.863 0.858 0.109 S
0.865 0.139 0.398 S
```

Top 10 peaks for 2θ = 10–80°, most intense first:
two_theta  I (rel.)
29.1  1000
18.0  840
50.6  337
44.1  240
53.7  235
35.9  191
45.7  162
58.1  118
33.0  83
64.9  82

***

Which formula does entry 2 have? Li10Zn7P8S32